NaCo3O6: computed PXRD pattern (copper Kα), based on a DFT-relaxed cell (GGA+U, Alexandria).
Intensities are scaled so that the largest is 100.

Top 12 peaks for 15 to 90 degrees two-theta, low angle first:
2θ = 15.61°, intensity 100, (0 0 1); 2θ = 31.52°, intensity 9, (0 0 2); 2θ = 37.11°, intensity 15, (1 3 0); 2θ = 38.15°, intensity 7, (1 3 -1); 2θ = 42.46°, intensity 13, (2 0 -2); 2θ = 42.67°, intensity 26, (1 3 1); 2θ = 52.81°, intensity 5, (2 0 -3); 2θ = 53.20°, intensity 9, (1 3 2); 2θ = 57.14°, intensity 7, (1 3 -3); 2θ = 66.22°, intensity 7, (3 3 -1); 2θ = 67.11°, intensity 3, (1 3 3); 2θ = 68.27°, intensity 6, (3 3 -2)

abc: 4.883 8.501 5.925
angles: 90.00 106.62 90.00
Space group C2/m (No. 12)
Symmetry-distinct sites (fractional):
Na 0.000 0.000 0.000 (multiplicity 2)
Co 0.000 0.168 0.500 (multiplicity 4)
Co 0.000 0.500 0.500 (multiplicity 2)
O 0.220 0.000 0.671 (multiplicity 4)
O 0.229 0.334 0.671 (multiplicity 8)